Theoretical powder X-ray diffraction pattern
Compound: Li6Fe5WO12
Radiation: Cu Kα
Structure: a structure optimized by DFT (GGA+U)
Peak positions follow from Bragg's law for the DFT cell and can differ from measured ones.

Peak list (8 most intense, 10° ≤ 2θ ≤ 90°, sorted by position)
| two_theta | intensity |
| --- | --- |
| 17.5 | 100 |
| 35.1 | 37 |
| 36.4 | 22 |
| 41.8 | 12 |
| 42.3 | 24 |
| 45.6 | 22 |
| 55.3 | 14 |
| 62.1 | 12 |

Atomic structure:
Cell lengths 5.201, 5.201, 10.277 Å; angles 94.23, 94.23, 120.37 degrees
Positions (direct):
Li  0.000  0.000  0.000
Li  0.208  0.208  0.505
Li  0.327  0.678  0.004
Li  0.525  0.879  0.512
Li  0.678  0.327  0.004
Li  0.879  0.525  0.512
Fe  0.100  0.100  0.254
Fe  0.276  0.936  0.756
Fe  0.435  0.768  0.257
Fe  0.768  0.435  0.257
Fe  0.936  0.276  0.756
W  0.587  0.587  0.757
O  0.065  0.400  0.143
O  0.137  0.803  0.369
O  0.249  0.563  0.633
O  0.326  0.326  0.877
O  0.400  0.065  0.143
O  0.467  0.467  0.366
O  0.563  0.249  0.633
O  0.624  0.948  0.874
O  0.735  0.735  0.146
O  0.803  0.137  0.369
O  0.882  0.882  0.650
O  0.948  0.624  0.874